Starting from the GGA+U geometry in Alexandria, the XRD peak list of Cs4U3Mo3O20 was simulated for a wavelength of 1.5418 Å.

Atomic structure:
```
Cs4U3Mo3O20
1.0
7.786 0.000 0.000
0.233 8.058 0.000
1.109 1.764 9.632
Cs U Mo O
4 3 3 20
direct
0.000 0.000 0.000
0.009 0.535 0.776
0.210 0.460 0.242
0.886 0.004 0.477
0.497 0.769 0.885
0.505 0.284 0.895
0.530 0.601 0.542
0.381 0.094 0.620
0.433 0.948 0.239
0.720 0.476 0.185
0.156 0.098 0.666
0.206 0.947 0.278
0.264 0.721 0.925
0.273 0.322 0.945
0.296 0.601 0.528
0.399 0.127 0.436
0.430 0.041 0.847
0.474 0.803 0.119
0.474 0.870 0.646
0.487 0.295 0.643
0.511 0.146 0.133
0.517 0.550 0.772
0.563 0.843 0.375
0.577 0.484 0.344
0.591 0.491 0.035
0.732 0.812 0.850
0.739 0.247 0.858
0.767 0.609 0.543
0.850 0.291 0.211
0.868 0.643 0.154
```

Main lines, sorted by position (10 to 90 degrees two-theta):
Position (°2θ)	Rel. int.	index
11.4	100	1 0 0
23.0	38	2 0 0
24.0	34	-1 1 2
25.1	28	1 2 0
25.6	43	2 1 1
25.8	76	0 2 -1
26.4	34	0 2 2
27.8	30	0 0 3
28.0	95	1 2 2
28.9	43	1 0 3